No. 1
This entry pairs a crystal structure of Ba2Cu3P4 with its simulated powder diffractogram. Radiation: Cu Kα (λ = 1.5418 Å). Structure: a DFT-relaxed cell (PBE, the Materials Project).

Most intense lines, 5° ≤ 2θ ≤ 70°, by angle:
- 22.33 deg, intensity 43
- 28.71 deg, intensity 15
- 29.46 deg, intensity 26
- 31.16 deg, intensity 16
- 32.21 deg, intensity 22
- 34.61 deg, intensity 100
- 35.23 deg, intensity 31
- 41.05 deg, intensity 48
- 55.70 deg, intensity 15
- 59.47 deg, intensity 14

Structure:
```
Ba2Cu3P4
1.0
-4.689 6.224 3.107
4.689 -6.224 3.107
4.689 6.224 -3.107
Ba Cu P
4 6 8
Direct
0.109 0.204 0.313
0.391 0.704 0.095
0.609 0.296 0.905
0.891 0.796 0.687
0.029 0.750 0.279
0.250 0.750 0.500
0.471 0.750 0.721
0.529 0.250 0.279
0.750 0.250 0.500
0.971 0.250 0.721
0.122 0.632 0.754
0.160 0.868 0.027
0.340 0.368 0.708
0.378 0.132 0.511
0.622 0.868 0.489
0.660 0.632 0.292
0.840 0.132 0.973
0.878 0.368 0.246
```



No. 2
This entry pairs a crystal structure of BaCu2P4 with its simulated powder diffractogram. Radiation: Cu Kα (λ = 1.5418 Å). Structure: a DFT-relaxed cell (PBE, the Materials Project).

Most intense lines, 5° ≤ 2θ ≤ 70°, by angle:
- 23.14 deg, intensity 55
- 29.86 deg, intensity 100
- 33.15 deg, intensity 21
- 33.98 deg, intensity 55
- 34.13 deg, intensity 33
- 34.98 deg, intensity 30
- 37.28 deg, intensity 29
- 39.02 deg, intensity 35
- 53.04 deg, intensity 21
- 54.09 deg, intensity 43

Structure:
```
BaCu2P4
1.0
0.000 5.130 9.536
2.733 0.000 9.536
2.733 5.130 0.000
Ba Cu P
2 4 8
Direct
0.125 0.125 0.125
0.875 0.875 0.875
0.253 0.253 0.497
0.497 0.497 0.253
0.503 0.503 0.747
0.747 0.747 0.503
0.171 0.687 0.198
0.198 0.444 0.171
0.313 0.829 0.556
0.444 0.198 0.687
0.556 0.802 0.313
0.687 0.171 0.444
0.802 0.556 0.829
0.829 0.313 0.802
```



No. 3
This entry pairs a crystal structure of BaPrCuTe3 with its simulated powder diffractogram. Radiation: Cu Kα (λ = 1.5418 Å). Structure: a DFT-relaxed cell (PBE, the Materials Project).

Most intense lines, 5° ≤ 2θ ≤ 70°, by angle:
- 25.50 deg, intensity 47
- 26.46 deg, intensity 54
- 27.54 deg, intensity 100
- 30.26 deg, intensity 31
- 30.55 deg, intensity 59
- 30.66 deg, intensity 39
- 38.88 deg, intensity 66
- 39.83 deg, intensity 40
- 46.97 deg, intensity 30
- 56.85 deg, intensity 23

Structure:
```
BaPrCuTe3
1.0
2.263 -7.561 0.000
2.263 7.561 0.000
0.000 0.000 11.815
Ba Pr Cu Te
2 2 2 6
Direct
0.247 0.753 0.750
0.753 0.247 0.250
0.500 0.500 0.000
0.500 0.500 0.500
0.035 0.965 0.250
0.965 0.035 0.750
0.140 0.860 0.068
0.140 0.860 0.432
0.430 0.570 0.250
0.570 0.430 0.750
0.860 0.140 0.568
0.860 0.140 0.932
```



No. 4
This entry pairs a crystal structure of BaCuS2 with its simulated powder diffractogram. Radiation: Cu Kα (λ = 1.5418 Å). Structure: a DFT-relaxed cell (PBE, the Materials Project).

Most intense lines, 5° ≤ 2θ ≤ 70°, by angle:
- 22.59 deg, intensity 100
- 26.39 deg, intensity 25
- 27.34 deg, intensity 96
- 35.25 deg, intensity 90
- 36.88 deg, intensity 46
- 45.98 deg, intensity 21
- 46.12 deg, intensity 21
- 46.91 deg, intensity 28
- 47.16 deg, intensity 22
- 60.85 deg, intensity 27

Structure:
```
BaCuS2
1.0
6.755 0.000 0.000
0.000 11.175 0.000
0.000 0.000 5.375
Ba Cu S
4 4 8
Direct
0.000 0.151 0.250
0.000 0.849 0.750
0.500 0.349 0.750
0.500 0.651 0.250
0.000 0.500 0.000
0.000 0.500 0.500
0.500 0.000 0.000
0.500 0.000 0.500
0.236 0.402 0.250
0.236 0.598 0.750
0.264 0.098 0.750
0.264 0.902 0.250
0.736 0.098 0.750
0.736 0.902 0.250
0.764 0.402 0.250
0.764 0.598 0.750
```